K3NiPCO7: simulated powder X-ray diffraction pattern (a wavelength of 1.5418 Å), based on a DFT-relaxed cell (GGA+U, Alexandria).
Lines closer than 0.1° are merged.

```
data_K3NiPCO7
_space_group_name_H-M_alt 'P 1'
_space_group_IT_number 1
_cell_length_a 5.637
_cell_length_b 6.875
_cell_length_c 9.520
_cell_angle_alpha 90.00
_cell_angle_beta 90.01
_cell_angle_gamma 90.00
loop_
_space_group_symop_operation_xyz
'x,y,z'
loop_
_atom_site_label
_atom_site_type_symbol
_atom_site_fract_x
_atom_site_fract_y
_atom_site_fract_z
_atom_site_occupancy
K1 K 0.249 0.011 0.201 1
K2 K 0.249 0.489 0.201 1
K3 K 0.251 0.750 0.569 1
K4 K 0.749 0.250 0.431 1
K5 K 0.751 0.511 0.799 1
K6 K 0.751 0.989 0.799 1
Ni1 Ni 0.250 0.250 0.847 1
Ni2 Ni 0.750 0.750 0.153 1
P1 P 0.249 0.750 0.919 1
P2 P 0.751 0.250 0.081 1
C1 C 0.249 0.250 0.583 1
C2 C 0.751 0.750 0.417 1
O1 O 0.021 0.750 0.011 1
O2 O 0.052 0.250 0.656 1
O3 O 0.249 0.250 0.448 1
O4 O 0.251 0.566 0.823 1
O5 O 0.251 0.934 0.823 1
O6 O 0.447 0.250 0.655 1
O7 O 0.473 0.750 0.014 1
O8 O 0.527 0.250 0.986 1
O9 O 0.553 0.750 0.345 1
O10 O 0.749 0.066 0.177 1
O11 O 0.749 0.434 0.177 1
O12 O 0.751 0.750 0.552 1
O13 O 0.948 0.750 0.344 1
O14 O 0.979 0.250 0.989 1
```

The 10 most intense peaks (5 to 70 degrees two-theta), low angle first:
d [Å]  I (rel.)
9.520  66
4.850  22
3.437  33
3.173  20
2.818  54
2.805  100
2.787  42
2.765  34
2.107  49
1.719  20